Entry 1:
Structure and theoretical XRD peak list of LuMgAgTe2Se (a crystal structure in OQMD, relaxed with PBE; λ = 1.5418 Å (Cu Kα)).
Kinematic intensities with the Lorentz-polarization factor, no thermal factor.

Most intense lines, 2θ from 10° to 90°, by intensity:
- 33.53 deg, intensity 100, (1 3 2)
- 12.73 deg, intensity 40, (0 2 0)
- 27.84 deg, intensity 27, (0 2 3)
- 42.67 deg, intensity 26, (1 5 2)
- 29.06 deg, intensity 24, (1 3 0)
- 44.14 deg, intensity 21, (2 0 0)
- 33.08 deg, intensity 16, (0 0 4)
- 30.23 deg, intensity 15, (1 3 1)

Structural model:
```
data_LuMgAgTe2Se
_chemical_formula_sum 'Lu4 Mg4 Ag4 Te8 Se4'
_space_group_name_H-M_alt 'C m c m'
_space_group_IT_number 63
_space_group_name_Hall '-C 2c 2'
_cell_length_a 4.103
_cell_length_b 13.910
_cell_length_c 10.831
_cell_angle_alpha 90.00
_cell_angle_beta 90.00
_cell_angle_gamma 90.00
loop_
_atom_site_label
_atom_site_fract_x
_atom_site_fract_y
_atom_site_fract_z
_atom_site_occupancy
Lu1 0.000 0.000 0.000 1
Mg1 0.000 0.255 0.250 1
Ag1 0.000 0.483 0.750 1
Te1 0.000 0.348 0.564 1
Se1 0.000 0.107 0.750 1
```

***

Entry 2:
Structure and theoretical XRD peak list of Dy3Cd3GaAu2 (a crystal structure in OQMD, relaxed with PBE; λ = 1.5418 Å (Cu Kα)).
Kinematic intensities with the Lorentz-polarization factor, no thermal factor.

Most intense lines, 2θ from 10° to 90°, by intensity:
- 32.32 deg, intensity 100, (1 1 1)
- 35.15 deg, intensity 83, (2 0 1)
- 36.05 deg, intensity 46, (2 1 0)
- 41.08 deg, intensity 34, (3 0 0)
- 65.96 deg, intensity 25, (3 2 1)
- 44.89 deg, intensity 25, (0 0 2)
- 69.35 deg, intensity 23, (4 1 1)
- 42.64 deg, intensity 23, (2 1 1)

Structural model:
```
data_Dy3Cd3GaAu2
_chemical_formula_sum 'Dy3 Cd3 Ga1 Au2'
_space_group_name_H-M_alt 'P -6 2 m'
_space_group_IT_number 189
_space_group_name_Hall 'P -6 -2'
_cell_length_a 7.6112
_cell_length_b 7.6112
_cell_length_c 4.0382
_cell_angle_alpha 90.00
_cell_angle_beta 90.00
_cell_angle_gamma 120.00
loop_
_atom_site_label
_atom_site_fract_x
_atom_site_fract_y
_atom_site_fract_z
_atom_site_occupancy
Dy1 0.0000 0.4122 0.0000 1
Cd1 0.0000 0.7494 0.5000 1
Ga1 0.0000 0.0000 0.0000 1
Au1 0.3333 0.6667 0.5000 1
```

***

Entry 3:
Structure and theoretical XRD peak list of Li2Mg2In2CoPt (a crystal structure in OQMD, relaxed with PBE; λ = 1.5418 Å (Cu Kα)).
Kinematic intensities with the Lorentz-polarization factor, no thermal factor.

Most intense lines, 2θ from 10° to 90°, by intensity:
- 24.12 deg, intensity 100, (1 0 1)
- 39.86 deg, intensity 86, (1 1 2)
- 39.96 deg, intensity 44, (2 0 0)
- 47.22 deg, intensity 33, (2 1 1)
- 72.51 deg, intensity 28, (3 1 2)
- 47.03 deg, intensity 16, (1 0 3)
- 57.80 deg, intensity 14, (2 2 0)
- 19.68 deg, intensity 14, (1 0 0)

Structural model:
```
data_Li2Mg2In2CoPt
_chemical_formula_sum 'Li2 Mg2 In2 Co1 Pt1'
_space_group_name_H-M_alt 'P -4 m 2'
_space_group_IT_number 115
_space_group_name_Hall 'P -4 -2'
_cell_length_a 4.512
_cell_length_b 4.512
_cell_length_c 6.414
_cell_angle_alpha 90.00
_cell_angle_beta 90.00
_cell_angle_gamma 90.00
loop_
_atom_site_label
_atom_site_fract_x
_atom_site_fract_y
_atom_site_fract_z
_atom_site_occupancy
Li1 0.000 0.000 0.000 1
Li2 0.500 0.500 0.500 1
Mg1 0.000 0.500 0.248 1
In1 0.000 0.500 0.767 1
Co1 0.500 0.500 0.000 1
Pt1 0.000 0.000 0.500 1
```

***

Entry 4:
Structure and theoretical XRD peak list of LiHg2Pb (a crystal structure in OQMD, relaxed with PBE; λ = 1.5418 Å (Cu Kα)).
Kinematic intensities with the Lorentz-polarization factor, no thermal factor.

Most intense lines, 2θ from 10° to 90°, by intensity:
- 34.91 deg, intensity 100, (2 2 0)
- 62.60 deg, intensity 38, (4 2 2)
- 21.17 deg, intensity 23, (1 1 1)
- 50.20 deg, intensity 18, (4 0 0)
- 84.25 deg, intensity 17, (6 2 0)
- 41.19 deg, intensity 13, (3 1 1)
- 24.49 deg, intensity 13, (2 0 0)
- 73.73 deg, intensity 12, (4 4 0)

Structural model:
```
data_LiHg2Pb
_chemical_formula_sum 'Li4 Hg8 Pb4'
_space_group_name_H-M_alt 'F -4 3 m'
_space_group_IT_number 216
_space_group_name_Hall 'F -4 2 3'
_cell_length_a 7.269
_cell_length_b 7.269
_cell_length_c 7.269
_cell_angle_alpha 90.00
_cell_angle_beta 90.00
_cell_angle_gamma 90.00
loop_
_atom_site_label
_atom_site_fract_x
_atom_site_fract_y
_atom_site_fract_z
_atom_site_occupancy
Li1 0.000 0.000 0.000 1
Hg1 0.000 0.000 0.500 1
Hg2 0.250 0.250 0.250 1
Pb1 0.250 0.250 0.750 1
```

***

Entry 5:
Structure and theoretical XRD peak list of Pa2Se4Br (a crystal structure in OQMD, relaxed with PBE; λ = 1.5418 Å (Cu Kα)).
Kinematic intensities with the Lorentz-polarization factor, no thermal factor.

Most intense lines, 2θ from 10° to 90°, by intensity:
- 12.64 deg, intensity 100, (1 1 0)
- 40.95 deg, intensity 91, (1 5 1)
- 35.72 deg, intensity 79, (0 2 2)
- 13.78 deg, intensity 76, (1 1 -1)
- 26.09 deg, intensity 75, (3 1 -1)
- 33.32 deg, intensity 67, (0 0 2)
- 34.06 deg, intensity 43, (1 5 -1)
- 22.54 deg, intensity 37, (1 3 -1)

Structural model:
```
data_Pa2Se4Br
_chemical_formula_sum 'Pa8 Se16 Br4'
_space_group_name_H-M_alt 'C 1 c 1'
_space_group_IT_number 9
_space_group_name_Hall 'C -2yc'
_cell_length_a 10.819
_cell_length_b 14.134
_cell_length_c 7.218
_cell_angle_alpha 90.00
_cell_angle_beta 131.80
_cell_angle_gamma 90.00
loop_
_atom_site_label
_atom_site_fract_x
_atom_site_fract_y
_atom_site_fract_z
_atom_site_occupancy
Pa1 0.000 0.052 0.000 1
Pa2 0.250 0.250 0.661 1
Se1 0.000 0.143 0.641 1
Se2 0.000 0.247 0.129 1
Se3 0.237 0.050 0.518 1
Se4 0.263 0.450 0.544 1
Br1 0.000 0.365 0.609 1
```

***

Entry 6:
Structure and theoretical XRD peak list of TmSc2Si4Ag4 (a crystal structure in OQMD, relaxed with PBE; λ = 1.5418 Å (Cu Kα)).
Kinematic intensities with the Lorentz-polarization factor, no thermal factor.

Most intense lines, 2θ from 10° to 90°, by intensity:
- 34.38 deg, intensity 100, (1 2 1)
- 29.24 deg, intensity 82, (1 0 3)
- 36.47 deg, intensity 62, (1 1 4)
- 43.61 deg, intensity 47, (0 3 3)
- 14.22 deg, intensity 44, (0 1 1)
- 44.25 deg, intensity 40, (2 0 0)
- 28.41 deg, intensity 35, (1 1 2)
- 39.30 deg, intensity 34, (0 0 6)

Structural model:
```
data_TmSc2Si4Ag4
_chemical_formula_sum 'Tm2 Sc4 Si8 Ag8'
_space_group_name_H-M_alt 'I m m m'
_space_group_IT_number 71
_space_group_name_Hall '-I 2 2'
_cell_length_a 4.094
_cell_length_b 6.983
_cell_length_c 13.755
_cell_angle_alpha 90.00
_cell_angle_beta 90.00
_cell_angle_gamma 90.00
loop_
_atom_site_label
_atom_site_fract_x
_atom_site_fract_y
_atom_site_fract_z
_atom_site_occupancy
Tm1 0.000 0.000 0.000 1
Sc1 0.000 0.500 0.121 1
Si1 0.000 0.000 0.220 1
Si2 0.000 0.173 0.500 1
Ag1 0.000 0.300 0.331 1
```

***

Entry 7:
Structure and theoretical XRD peak list of Tm3Se2NO (a crystal structure in OQMD, relaxed with PBE; λ = 1.5418 Å (Cu Kα)).
Kinematic intensities with the Lorentz-polarization factor, no thermal factor.

Most intense lines, 2θ from 10° to 90°, by intensity:
- 31.07 deg, intensity 100, (1 1 2)
- 27.96 deg, intensity 43, (4 0 -2)
- 37.83 deg, intensity 33, (5 1 0)
- 46.39 deg, intensity 28, (3 1 -4)
- 47.42 deg, intensity 18, (0 2 0)
- 41.45 deg, intensity 16, (2 0 4)
- 77.90 deg, intensity 14, (1 3 2)
- 26.53 deg, intensity 14, (4 0 1)

Structural model:
```
data_Tm3Se2NO
_chemical_formula_sum 'Tm12 Se8 N4 O4'
_space_group_name_H-M_alt 'C 1 2/m 1'
_space_group_IT_number 12
_space_group_name_Hall '-C 2y'
_cell_length_a 15.319
_cell_length_b 3.834
_cell_length_c 9.591
_cell_angle_alpha 90.00
_cell_angle_beta 98.17
_cell_angle_gamma 90.00
loop_
_atom_site_label
_atom_site_fract_x
_atom_site_fract_y
_atom_site_fract_z
_atom_site_occupancy
Tm1 0.049 0.000 0.257 1
Tm2 0.106 0.500 0.942 1
Tm3 0.194 0.000 0.675 1
Se1 0.130 0.500 0.470 1
Se2 0.215 0.000 0.149 1
N1 0.094 0.000 0.810 1
O1 0.039 0.500 0.137 1
```

***

Entry 8:
Structure and theoretical XRD peak list of Tb2CoSi4Ir (a crystal structure in OQMD, relaxed with PBE; λ = 1.5418 Å (Cu Kα)).
Kinematic intensities with the Lorentz-polarization factor, no thermal factor.

Most intense lines, 2θ from 10° to 90°, by intensity:
- 31.51 deg, intensity 100, (1 1 1)
- 34.89 deg, intensity 74, (0 1 5)
- 35.13 deg, intensity 65, (1 1 3)
- 30.82 deg, intensity 44, (1 0 4)
- 57.79 deg, intensity 35, (2 1 5)
- 39.46 deg, intensity 32, (1 0 6)
- 21.47 deg, intensity 32, (0 0 4)
- 10.69 deg, intensity 31, (0 0 2)

Structural model:
```
data_Tb2CoSi4Ir
_chemical_formula_sum 'Tb4 Co2 Si8 Ir2'
_space_group_name_H-M_alt 'A m m 2'
_space_group_IT_number 38
_space_group_name_Hall 'A 2 -2'
_cell_length_a 4.069
_cell_length_b 4.083
_cell_length_c 16.554
_cell_angle_alpha 90.00
_cell_angle_beta 90.00
_cell_angle_gamma 90.00
loop_
_atom_site_label
_atom_site_fract_x
_atom_site_fract_y
_atom_site_fract_z
_atom_site_occupancy
Tb1 0.000 0.000 0.000 1
Tb2 0.500 0.000 0.210 1
Co1 0.000 0.000 0.782 1
Si1 0.000 0.000 0.346 1
Si2 0.000 0.000 0.648 1
Si3 0.500 0.000 0.568 1
Si4 0.500 0.000 0.846 1
Ir1 0.500 0.000 0.426 1
```

***

Entry 9:
Structure and theoretical XRD peak list of KTaBr2Cl2O (a crystal structure in OQMD, relaxed with PBE; λ = 1.5418 Å (Cu Kα)).
Kinematic intensities with the Lorentz-polarization factor, no thermal factor.

Most intense lines, 2θ from 10° to 90°, by intensity:
- 15.31 deg, intensity 100, (2 0 -1)
- 23.56 deg, intensity 86, (1 1 0)
- 13.56 deg, intensity 84, (2 0 0)
- 25.69 deg, intensity 65, (1 1 -1)
- 30.91 deg, intensity 54, (4 0 -2)
- 32.10 deg, intensity 52, (2 0 2)
- 30.56 deg, intensity 44, (3 1 -1)
- 12.41 deg, intensity 41, (0 0 1)

Structural model:
```
data_KTaBr2Cl2O
_chemical_formula_sum 'K2 Ta2 Br4 Cl4 O2'
_space_group_name_H-M_alt 'C 1 2 1'
_space_group_IT_number 5
_space_group_name_Hall 'C 2y'
_cell_length_a 13.729
_cell_length_b 3.944
_cell_length_c 7.497
_cell_angle_alpha 90.00
_cell_angle_beta 107.97
_cell_angle_gamma 90.00
loop_
_atom_site_label
_atom_site_fract_x
_atom_site_fract_y
_atom_site_fract_z
_atom_site_occupancy
K1 0.000 0.000 0.000 1
Ta1 0.000 0.463 0.500 1
Br1 0.144 0.502 0.814 1
Cl1 0.125 0.502 0.337 1
O1 0.000 0.995 0.500 1
```

***

Entry 10:
Structure and theoretical XRD peak list of Gd2Pd2O5 (a crystal structure in OQMD, relaxed with PBE; λ = 1.5418 Å (Cu Kα)).
Kinematic intensities with the Lorentz-polarization factor, no thermal factor.

Most intense lines, 2θ from 10° to 90°, by intensity:
- 34.30 deg, intensity 100, (1 0 2)
- 31.55 deg, intensity 69, (1 1 0)
- 57.97 deg, intensity 45, (2 1 2)
- 45.23 deg, intensity 41, (2 0 0)
- 41.22 deg, intensity 15, (1 1 2)
- 65.88 deg, intensity 13, (2 2 0)
- 74.88 deg, intensity 12, (3 1 0)
- 76.42 deg, intensity 10, (3 0 2)

Structural model:
```
data_Gd2Pd2O5
_chemical_formula_sum 'Gd2 Pd2 O5'
_space_group_name_H-M_alt 'P 4/m m m'
_space_group_IT_number 123
_space_group_name_Hall '-P 4 2'
_cell_length_a 4.010
_cell_length_b 4.010
_cell_length_c 6.896
_cell_angle_alpha 90.00
_cell_angle_beta 90.00
_cell_angle_gamma 90.00
loop_
_atom_site_label
_atom_site_fract_x
_atom_site_fract_y
_atom_site_fract_z
_atom_site_occupancy
Gd1 0.000 0.000 0.000 1
Gd2 0.000 0.000 0.500 1
Pd1 0.500 0.500 0.191 1
O1 0.000 0.500 0.227 1
O2 0.500 0.500 0.500 1
```

***

Entry 11:
Structure and theoretical XRD peak list of GeAu10 (a crystal structure in OQMD, relaxed with PBE; λ = 1.5418 Å (Cu Kα)).
Kinematic intensities with the Lorentz-polarization factor, no thermal factor.

Most intense lines, 2θ from 10° to 90°, by intensity:
- 36.64 deg, intensity 100, (1 1 11)
- 38.21 deg, intensity 87, (3 1 -4)
- 43.92 deg, intensity 58, (0 2 0)
- 37.62 deg, intensity 54, (3 1 -3)
- 38.65 deg, intensity 40, (1 1 12)
- 42.64 deg, intensity 33, (2 0 -15)
- 34.72 deg, intensity 24, (1 1 10)
- 76.95 deg, intensity 21, (3 3 -4)

Structural model:
```
data_GeAu10
_chemical_formula_sum 'Ge4 Au40'
_space_group_name_H-M_alt 'C 1 2/m 1'
_space_group_IT_number 12
_space_group_name_Hall '-C 2y'
_cell_length_a 9.061
_cell_length_b 4.121
_cell_length_c 35.794
_cell_angle_alpha 90.00
_cell_angle_beta 90.60
_cell_angle_gamma 90.00
loop_
_atom_site_label
_atom_site_fract_x
_atom_site_fract_y
_atom_site_fract_z
_atom_site_occupancy
Ge1 0.156 0.000 0.226 1
Au1 0.044 0.500 0.268 1
Au2 0.049 0.000 0.407 1
Au3 0.050 0.000 0.674 1
Au4 0.051 0.500 0.540 1
Au5 0.149 0.500 0.353 1
Au6 0.150 0.000 0.486 1
Au7 0.150 0.000 0.758 1
Au8 0.151 0.500 0.621 1
Au9 0.247 0.000 0.300 1
Au10 0.250 0.000 0.567 1
```

***

Entry 12:
Structure and theoretical XRD peak list of Ta2Zn3O8 (a crystal structure in OQMD, relaxed with PBE; λ = 1.5418 Å (Cu Kα)).
Kinematic intensities with the Lorentz-polarization factor, no thermal factor.

Most intense lines, 2θ from 10° to 90°, by intensity:
- 31.09 deg, intensity 100, (1 1 -3)
- 23.67 deg, intensity 92, (0 2 1)
- 32.15 deg, intensity 74, (3 1 -2)
- 33.72 deg, intensity 71, (1 3 0)
- 30.27 deg, intensity 71, (1 1 2)
- 21.27 deg, intensity 65, (1 1 1)
- 15.15 deg, intensity 63, (1 1 0)
- 37.42 deg, intensity 48, (2 0 2)

Structural model:
```
data_Ta2Zn3O8
_chemical_formula_sum 'Ta8 Zn12 O32'
_space_group_name_H-M_alt 'C 1 2/c 1'
_space_group_IT_number 15
_space_group_name_Hall '-C 2yc'
_cell_length_a 9.078
_cell_length_b 8.440
_cell_length_c 9.250
_cell_angle_alpha 90.00
_cell_angle_beta 116.71
_cell_angle_gamma 90.00
loop_
_atom_site_label
_atom_site_fract_x
_atom_site_fract_y
_atom_site_fract_z
_atom_site_occupancy
Ta1 0.084 0.143 0.128 1
Zn1 0.000 0.243 0.750 1
Zn2 0.156 0.471 0.492 1
O1 0.046 0.100 0.610 1
O2 0.059 0.366 0.092 1
O3 0.148 0.140 0.362 1
O4 0.198 0.378 0.853 1
```

***

What is the formula in the fourth record?
LiHg2Pb

***

Repeat the tenth record exactly.
Structure and theoretical XRD peak list of Gd2Pd2O5 (a crystal structure in OQMD, relaxed with PBE; λ = 1.5418 Å (Cu Kα)).
Kinematic intensities with the Lorentz-polarization factor, no thermal factor.

Most intense lines, 2θ from 10° to 90°, by intensity:
- 34.30 deg, intensity 100, (1 0 2)
- 31.55 deg, intensity 69, (1 1 0)
- 57.97 deg, intensity 45, (2 1 2)
- 45.23 deg, intensity 41, (2 0 0)
- 41.22 deg, intensity 15, (1 1 2)
- 65.88 deg, intensity 13, (2 2 0)
- 74.88 deg, intensity 12, (3 1 0)
- 76.42 deg, intensity 10, (3 0 2)

Structural model:
```
data_Gd2Pd2O5
_chemical_formula_sum 'Gd2 Pd2 O5'
_space_group_name_H-M_alt 'P 4/m m m'
_space_group_IT_number 123
_space_group_name_Hall '-P 4 2'
_cell_length_a 4.010
_cell_length_b 4.010
_cell_length_c 6.896
_cell_angle_alpha 90.00
_cell_angle_beta 90.00
_cell_angle_gamma 90.00
loop_
_atom_site_label
_atom_site_fract_x
_atom_site_fract_y
_atom_site_fract_z
_atom_site_occupancy
Gd1 0.000 0.000 0.000 1
Gd2 0.000 0.000 0.500 1
Pd1 0.500 0.500 0.191 1
O1 0.000 0.500 0.227 1
O2 0.500 0.500 0.500 1
```